The following is a calculated X-ray powder pattern of Sr2Zn2PbO6. It was derived from a GGA-PBE-relaxed structure, using λ = 1.5418 Å (Cu Kα).

Largest 6 diffraction maxima, by angle, 2θ from 5° to 70°:
Position (°2θ)  intensity  h k l
15.10  316  0 0 1
23.80  797  1 0 1
30.48  288  0 0 2
31.95  894  1 1 0
44.73  1000  1 1 2
56.93  280  3 0 0

Cell and atoms:
Cell lengths 5.6031, 5.6031, 5.8661 Å; angles 90.00, 90.00, 120.00 degrees
Space group P-31m (No. 162)
Inequivalent atoms, fractional coordinates:
Sr  0.3333  0.6667  0.0000 x2
Zn  0.3333  0.6667  0.5000 x2
Pb  0.0000  0.0000  0.5000 x1
O  0.0000  0.3424  0.2963 x6